Entry 1:
Sr2Al2Cd15: simulated XRD peak list (Cu Kα), based on a PBE-relaxed structure.

Structure:
a b c (Å): 10.2561 10.2561 14.9055
angles (deg): 90.00 90.00 120.00
Space group R-3m (No. 166, hexagonal axes)
One atom of each set of equivalent atoms:
Sr1 0.0000 0.0000 0.1688
Al1 0.0000 0.0000 0.4081
Cd1 0.0000 0.3015 0.5000
Cd2 0.0000 0.5000 0.0000
Cd3 0.0114 0.5057 0.6521

Peak list (12 most intense, 2θ = 5–70°, by intensity)
h k l	Position (°2θ)	d/Å	Rel. int.
0 3 3	35.29	2.543	100
2 2 3	39.55	2.279	75
1 1 0	17.29	5.128	45
0 0 6	36.16	2.484	38
2 2 0	35.00	2.564	37
6 0 0	62.77	1.480	19
3 3 3	56.97	1.616	17
0 3 9	64.47	1.445	15
2 2 6	51.20	1.784	15
3 0 0	30.19	2.961	15
1 1 6	40.34	2.236	14
2 0 5	36.29	2.475	13

=====

Entry 2:
Tl3Rh2F9: simulated XRD peak list (Cu Kα), based on a PBE-relaxed structure.

Structure:
a b c (Å): 10.4684 10.4684 15.8935
angles (deg): 90.00 90.00 120.00
Space group R-3c (No. 167, hexagonal axes)
One atom of each set of equivalent atoms:
Tl1 0.0000 0.3614 0.2500
Rh1 0.0000 0.0000 0.1624
F1 0.0000 0.1486 0.7500
F2 0.0012 0.1583 0.4064

Peak list (12 most intense, 2θ = 5–70°, by intensity)
h k l	Position (°2θ)	d/Å	Rel. int.
1 1 3	23.90	3.723	100
3 0 0	29.56	3.022	69
2 2 3	38.36	2.346	52
1 1 6	38.07	2.363	30
2 2 6	48.92	1.862	21
1 4 6	58.20	1.585	18
1 4 3	49.16	1.853	17
2 0 2	22.58	3.937	15
1 1 9	54.87	1.673	11
2 2 9	63.55	1.464	11
0 0 6	33.84	2.649	10
3 3 0	52.44	1.745	10

=====

Entry 3:
Ga7Sn2: simulated XRD peak list (Cu Kα), based on a PBE-relaxed structure.

Structure:
a b c (Å): 7.4392 7.4392 4.1010
angles (deg): 90.00 90.00 120.00
Space group P-31m (No. 162)
One atom of each set of equivalent atoms:
Ga1 0.0000 0.0000 0.0000
Ga2 0.0000 0.3271 0.6270
Sn1 0.3333 0.6667 0.0000

Peak list (12 most intense, 2θ = 5–70°, by intensity)
h k l	Position (°2θ)	d/Å	Rel. int.
1 1 1	32.50	2.755	100
3 0 0	42.08	2.148	47
2 -1 2	50.85	1.796	24
4 -2 1	54.15	1.694	23
2 2 2	68.06	1.378	10
3 0 2	62.64	1.483	5
1 1 0	23.92	3.720	3
0 0 3	68.66	1.367	3
0 0 2	44.17	2.051	2
1 0 1	25.75	3.460	2
1 0 0	13.74	6.443	2
2 0 0	27.69	3.221	1

=====

What did the second record say?
Tl3Rh2F9: simulated XRD peak list (Cu Kα), based on a PBE-relaxed structure.

Structure:
a b c (Å): 10.4684 10.4684 15.8935
angles (deg): 90.00 90.00 120.00
Space group R-3c (No. 167, hexagonal axes)
One atom of each set of equivalent atoms:
Tl1 0.0000 0.3614 0.2500
Rh1 0.0000 0.0000 0.1624
F1 0.0000 0.1486 0.7500
F2 0.0012 0.1583 0.4064

Peak list (12 most intense, 2θ = 5–70°, by intensity)
h k l	Position (°2θ)	d/Å	Rel. int.
1 1 3	23.90	3.723	100
3 0 0	29.56	3.022	69
2 2 3	38.36	2.346	52
1 1 6	38.07	2.363	30
2 2 6	48.92	1.862	21
1 4 6	58.20	1.585	18
1 4 3	49.16	1.853	17
2 0 2	22.58	3.937	15
1 1 9	54.87	1.673	11
2 2 9	63.55	1.464	11
0 0 6	33.84	2.649	10
3 3 0	52.44	1.745	10